The following is a calculated XRD peak list of Er5Sb2C. It was derived from a DFT-relaxed cell (PBE, Alexandria), using λ = 1.5418 Å (Cu Kα).

Top 10 peaks for 2θ = 15–90°, sorted by position:
2theta  d_spacing  intensity
18.06  4.911  76
27.84  3.204  73
28.14  3.171  31
31.47  2.842  66
33.64  2.664  51
33.93  2.642  85
34.63  2.590  100
40.25  2.241  46
42.75  2.115  27
47.48  1.915  42

```
data_Er5Sb2C
_cell_length_a 8.104
_cell_length_b 8.104
_cell_length_c 12.685
_cell_angle_alpha 90.00
_cell_angle_beta 90.00
_cell_angle_gamma 142.70
_symmetry_space_group_name_H-M 'P 1'
_symmetry_Int_Tables_number 1
loop_
_symmetry_equiv_pos_as_xyz
'x,y,z'
loop_
_atom_site_label
_atom_site_type_symbol
_atom_site_fract_x
_atom_site_fract_y
_atom_site_fract_z
_atom_site_occupancy
Er1 Er 0.074 0.926 0.624 1
Er2 Er 0.074 0.926 0.876 1
Er3 Er 0.283 0.717 0.587 1
Er4 Er 0.283 0.717 0.913 1
Er5 Er 0.297 0.703 0.250 1
Er6 Er 0.703 0.297 0.750 1
Er7 Er 0.717 0.283 0.087 1
Er8 Er 0.717 0.283 0.413 1
Er9 Er 0.926 0.074 0.124 1
Er10 Er 0.926 0.074 0.376 1
Sb1 Sb 0.128 0.872 0.103 1
Sb2 Sb 0.128 0.872 0.397 1
Sb3 Sb 0.872 0.128 0.603 1
Sb4 Sb 0.872 0.128 0.897 1
C1 C 0.186 0.814 0.750 1
C2 C 0.814 0.186 0.250 1
```

The following is a calculated XRD peak list of AcTl2ZnSb2. It was derived from a DFT-relaxed cell (PBE, Alexandria), using λ = 1.5418 Å (Cu Kα).

Top 10 peaks for 2θ = 15–90°, sorted by position:
2theta  d_spacing  intensity
28.46  3.137  91
28.56  3.126  20
28.93  3.087  27
30.83  2.900  100
32.98  2.716  24
34.85  2.574  30
38.75  2.324  33
53.11  1.724  24
53.93  1.700  17
64.39  1.447  18

```
data_AcTl2ZnSb2
_cell_length_a 4.648
_cell_length_b 10.040
_cell_length_c 7.990
_cell_angle_alpha 90.00
_cell_angle_beta 90.00
_cell_angle_gamma 90.00
_symmetry_space_group_name_H-M 'P 1'
_symmetry_Int_Tables_number 1
loop_
_symmetry_equiv_pos_as_xyz
'x,y,z'
loop_
_atom_site_label
_atom_site_type_symbol
_atom_site_fract_x
_atom_site_fract_y
_atom_site_fract_z
_atom_site_occupancy
Ac1 Ac 0.000 0.087 0.000 1
Ac2 Ac 0.000 0.913 0.500 1
Tl1 Tl 0.000 0.353 0.294 1
Tl2 Tl 0.000 0.647 0.794 1
Tl3 Tl 0.500 0.440 0.985 1
Tl4 Tl 0.500 0.560 0.485 1
Zn1 Zn 0.500 0.162 0.656 1
Zn2 Zn 0.500 0.838 0.156 1
Sb1 Sb 0.000 0.312 0.691 1
Sb2 Sb 0.000 0.688 0.191 1
Sb3 Sb 0.500 0.093 0.304 1
Sb4 Sb 0.500 0.907 0.804 1
```

The following is a calculated XRD peak list of Ba6GeN2. It was derived from a DFT-relaxed cell (PBE, Alexandria), using λ = 1.5418 Å (Cu Kα).

Top 10 peaks for 2θ = 15–90°, sorted by position:
2theta  d_spacing  intensity
23.73  3.749  79
25.85  3.447  100
26.12  3.412  25
26.30  3.388  50
29.60  3.018  25
31.14  2.872  35
31.52  2.838  56
40.78  2.213  23
41.51  2.176  29
43.63  2.075  23

```
data_Ba6GeN2
_cell_length_a 7.396
_cell_length_b 7.396
_cell_length_c 10.009
_cell_angle_alpha 106.26
_cell_angle_beta 106.26
_cell_angle_gamma 45.13
_symmetry_space_group_name_H-M 'P 1'
_symmetry_Int_Tables_number 1
loop_
_symmetry_equiv_pos_as_xyz
'x,y,z'
loop_
_atom_site_label
_atom_site_type_symbol
_atom_site_fract_x
_atom_site_fract_y
_atom_site_fract_z
_atom_site_occupancy
Ba1 Ba 0.042 0.042 0.193 1
Ba2 Ba 0.286 0.286 0.915 1
Ba3 Ba 0.352 0.352 0.384 1
Ba4 Ba 0.648 0.648 0.616 1
Ba5 Ba 0.714 0.714 0.085 1
Ba6 Ba 0.958 0.958 0.807 1
Ge1 Ge 0.000 0.000 0.500 1
N1 N 0.214 0.214 0.138 1
N2 N 0.786 0.786 0.862 1
```

The following is a calculated XRD peak list of Li4Ho2Cl9. It was derived from a DFT-relaxed cell (PBE, Alexandria), using λ = 1.5418 Å (Cu Kα).

Top 10 peaks for 2θ = 15–90°, sorted by position:
2theta  d_spacing  intensity
15.44  5.738  100
18.40  4.823  29
25.32  3.517  33
30.91  2.893  33
31.18  2.869  23
33.73  2.657  16
34.01  2.636  30
40.83  2.210  44
41.65  2.169  19
47.54  1.913  25

```
data_Li4Ho2Cl9
_cell_length_a 6.626
_cell_length_b 6.626
_cell_length_c 17.804
_cell_angle_alpha 90.00
_cell_angle_beta 90.00
_cell_angle_gamma 59.99
_symmetry_space_group_name_H-M 'P 1'
_symmetry_Int_Tables_number 1
loop_
_symmetry_equiv_pos_as_xyz
'x,y,z'
loop_
_atom_site_label
_atom_site_type_symbol
_atom_site_fract_x
_atom_site_fract_y
_atom_site_fract_z
_atom_site_occupancy
Li1 Li 0.166 0.167 0.668 1
Li2 Li 0.166 0.167 0.983 1
Li3 Li 0.167 0.166 0.168 1
Li4 Li 0.167 0.166 0.483 1
Li5 Li 0.833 0.834 0.517 1
Li6 Li 0.833 0.834 0.832 1
Li7 Li 0.834 0.833 0.017 1
Li8 Li 0.834 0.833 0.332 1
Ho1 Ho 0.500 0.500 0.157 1
Ho2 Ho 0.500 0.500 0.343 1
Ho3 Ho 0.500 0.500 0.657 1
Ho4 Ho 0.500 0.500 0.843 1
Cl1 Cl 0.141 0.521 0.916 1
Cl2 Cl 0.141 0.838 0.416 1
Cl3 Cl 0.162 0.479 0.584 1
Cl4 Cl 0.162 0.859 0.084 1
Cl5 Cl 0.171 0.829 0.750 1
Cl6 Cl 0.172 0.499 0.250 1
Cl7 Cl 0.479 0.162 0.084 1
Cl8 Cl 0.479 0.859 0.584 1
Cl9 Cl 0.499 0.172 0.750 1
Cl10 Cl 0.501 0.828 0.250 1
Cl11 Cl 0.521 0.141 0.416 1
Cl12 Cl 0.521 0.838 0.916 1
Cl13 Cl 0.828 0.501 0.750 1
Cl14 Cl 0.829 0.171 0.250 1
Cl15 Cl 0.838 0.141 0.916 1
Cl16 Cl 0.838 0.521 0.416 1
Cl17 Cl 0.859 0.162 0.584 1
Cl18 Cl 0.859 0.479 0.084 1
```

Please write out number 3 again, unchanged.
The following is a calculated XRD peak list of Ba6GeN2. It was derived from a DFT-relaxed cell (PBE, Alexandria), using λ = 1.5418 Å (Cu Kα).

Top 10 peaks for 2θ = 15–90°, sorted by position:
2theta  d_spacing  intensity
23.73  3.749  79
25.85  3.447  100
26.12  3.412  25
26.30  3.388  50
29.60  3.018  25
31.14  2.872  35
31.52  2.838  56
40.78  2.213  23
41.51  2.176  29
43.63  2.075  23

```
data_Ba6GeN2
_cell_length_a 7.396
_cell_length_b 7.396
_cell_length_c 10.009
_cell_angle_alpha 106.26
_cell_angle_beta 106.26
_cell_angle_gamma 45.13
_symmetry_space_group_name_H-M 'P 1'
_symmetry_Int_Tables_number 1
loop_
_symmetry_equiv_pos_as_xyz
'x,y,z'
loop_
_atom_site_label
_atom_site_type_symbol
_atom_site_fract_x
_atom_site_fract_y
_atom_site_fract_z
_atom_site_occupancy
Ba1 Ba 0.042 0.042 0.193 1
Ba2 Ba 0.286 0.286 0.915 1
Ba3 Ba 0.352 0.352 0.384 1
Ba4 Ba 0.648 0.648 0.616 1
Ba5 Ba 0.714 0.714 0.085 1
Ba6 Ba 0.958 0.958 0.807 1
Ge1 Ge 0.000 0.000 0.500 1
N1 N 0.214 0.214 0.138 1
N2 N 0.786 0.786 0.862 1
```